Theoretical powder diffractogram of CsSrTl2Cl5 for a wavelength of 1.5418 Å, from the GGA-PBE geometry in Alexandria.
Neutral-atom scattering factors, no anomalous dispersion.

Atomic structure:
```
CsSrTl2Cl5
1.0
-2.785 3.939 7.791
2.785 -3.939 7.791
2.785 3.939 -7.791
Cs Sr Tl Cl
1 1 2 5
Cartesian
0.000 0.000 0.000
0.000 0.000 7.791
2.785 0.000 4.439
0.000 3.939 3.352
2.785 1.952 -2.087
2.785 1.952 2.087
0.000 3.939 0.000
0.000 1.987 5.705
0.000 1.987 9.878
```

Main lines, in order of rising 2θ (2θ = 10–80°):
| 2θ (°) | d (Å) | Rel. int. |
| --- | --- | --- |
| 20.5 | 4.336 | 11 |
| 22.6 | 3.930 | 100 |
| 28.3 | 3.150 | 11 |
| 32.1 | 2.785 | 19 |
| 32.3 | 2.770 | 24 |
| 32.9 | 2.720 | 14 |
| 39.7 | 2.273 | 28 |
| 46.2 | 1.964 | 17 |
| 52.0 | 1.760 | 11 |
| 62.4 | 1.488 | 13 |

---

Theoretical powder diffractogram of CsSr2VCl8 for a wavelength of 1.5418 Å, from the GGA-PBE geometry in Alexandria.
Neutral-atom scattering factors, no anomalous dispersion.

Atomic structure:
```
CsSr2VCl8
1.0
6.459 0.000 0.000
0.062 6.516 0.000
0.037 0.018 9.151
Cs Sr V Cl
1 2 1 8
Cartesian
0.000 0.000 0.000
3.265 3.261 2.367
3.292 3.273 6.784
0.018 0.009 4.576
1.458 5.518 6.242
1.462 5.532 2.902
1.568 1.972 4.584
1.705 2.756 0.005
4.852 3.779 9.147
4.990 4.562 4.567
5.096 1.003 6.249
5.100 1.016 2.909
```

Main lines, in order of rising 2θ (2θ = 10–80°):
| 2θ (°) | d (Å) | Rel. int. |
| --- | --- | --- |
| 19.3 | 4.609 | 100 |
| 19.4 | 4.566 | 86 |
| 23.8 | 3.742 | 77 |
| 23.9 | 3.727 | 44 |
| 27.4 | 3.257 | 32 |
| 36.6 | 2.457 | 42 |
| 36.8 | 2.445 | 87 |
| 36.9 | 2.436 | 34 |
| 39.4 | 2.286 | 36 |
| 46.3 | 1.962 | 30 |

---

Theoretical powder diffractogram of Cs2Ta3Cl9 for a wavelength of 1.5418 Å, from the GGA-PBE geometry in Alexandria.
Neutral-atom scattering factors, no anomalous dispersion.

Atomic structure:
```
Cs2Ta3Cl9
1.0
5.481 -8.919 0.000
5.481 8.919 0.000
-4.715 0.000 9.153
Cs Ta Cl
4 6 18
Cartesian
1.045 6.109 6.241
5.202 6.109 2.912
1.045 -6.109 6.241
5.202 -6.109 2.912
0.003 1.453 7.915
3.731 0.000 1.089
0.003 -1.453 7.915
6.243 1.453 1.237
2.515 0.000 8.064
6.243 -1.453 1.237
-0.975 3.300 6.318
-2.224 1.749 8.978
-1.078 0.000 6.209
1.529 0.000 2.437
5.481 3.473 0.000
-2.224 -1.749 8.978
1.931 1.734 6.391
-0.975 -3.300 6.318
4.315 1.734 2.762
1.931 -1.734 6.391
7.221 3.300 2.835
4.315 -1.734 2.762
8.470 1.749 0.174
5.481 -3.473 0.000
4.717 0.000 6.715
7.324 0.000 2.944
8.470 -1.749 0.174
7.221 -3.300 2.835
```

Main lines, in order of rising 2θ (2θ = 10–80°):
| 2θ (°) | d (Å) | Rel. int. |
| --- | --- | --- |
| 10.3 | 8.552 | 89 |
| 11.0 | 8.074 | 100 |
| 13.9 | 6.388 | 45 |
| 16.2 | 5.462 | 21 |
| 17.5 | 5.076 | 31 |
| 22.9 | 3.892 | 22 |
| 31.6 | 2.829 | 32 |
| 35.0 | 2.565 | 21 |
| 35.6 | 2.520 | 20 |
| 44.8 | 2.024 | 21 |

---

Theoretical powder diffractogram of Cs3Tb2Cl9 for a wavelength of 1.5418 Å, from the GGA-PBE geometry in Alexandria.
Neutral-atom scattering factors, no anomalous dispersion.

Atomic structure:
```
Cs3Tb2Cl9
1.0
6.694 3.865 6.328
-6.694 3.865 6.328
0.000 -7.730 6.328
Cs Tb Cl
6 4 18
Cartesian
-4.431 0.056 7.909
-2.264 -3.809 11.073
2.167 -3.865 7.909
-2.167 3.865 11.073
2.264 3.809 7.909
4.431 -0.056 11.073
0.000 0.000 2.843
0.000 0.000 6.648
0.000 0.000 12.334
0.000 0.000 16.140
-5.604 -1.828 10.954
-1.219 -5.768 8.029
-2.017 0.000 4.746
-1.219 -1.962 7.790
1.008 -1.746 4.746
-4.386 3.939 8.029
1.008 1.746 4.746
-1.090 2.036 7.790
-2.309 0.074 11.193
2.309 -0.074 7.790
1.090 -2.036 11.193
-1.008 -1.746 14.237
4.386 -3.939 10.954
-1.008 1.746 14.237
1.219 1.962 11.193
2.017 0.000 14.237
1.219 5.768 10.954
5.604 1.828 8.029
```

Main lines, in order of rising 2θ (2θ = 10–80°):
| 2θ (°) | d (Å) | Rel. int. |
| --- | --- | --- |
| 13.2 | 6.694 | 31 |
| 19.3 | 4.598 | 46 |
| 20.2 | 4.392 | 26 |
| 23.0 | 3.865 | 92 |
| 30.2 | 2.959 | 100 |
| 31.3 | 2.860 | 37 |
| 39.2 | 2.299 | 47 |
| 45.9 | 1.976 | 27 |
| 47.0 | 1.932 | 37 |
| 51.2 | 1.784 | 28 |

---

Theoretical powder diffractogram of CsTb2Cl7 for a wavelength of 1.5418 Å, from the GGA-PBE geometry in Alexandria.
Neutral-atom scattering factors, no anomalous dispersion.

Atomic structure:
```
CsTb2Cl7
1.0
14.364 0.000 0.000
0.000 7.052 0.000
0.000 0.000 12.776
Cs Tb Cl
4 8 28
Cartesian
0.449 1.763 2.637
6.733 5.289 9.025
7.631 1.763 3.751
13.914 5.289 10.139
3.484 1.763 7.044
3.545 1.763 10.932
3.637 5.289 4.544
3.698 5.289 0.656
10.665 1.763 12.120
10.727 1.763 8.232
10.818 5.289 1.844
10.880 5.289 5.732
1.692 5.289 2.585
1.922 0.070 5.573
1.922 3.456 5.573
1.952 0.066 12.400
1.952 3.460 12.400
2.588 0.084 8.996
2.588 3.442 8.996
4.593 3.610 2.608
4.593 6.968 2.608
5.230 3.592 6.012
5.230 6.986 6.012
5.259 3.596 11.961
5.259 6.982 11.961
5.490 1.763 8.973
8.874 5.289 3.803
9.104 0.070 0.815
9.104 3.456 0.815
9.134 0.066 6.764
9.134 3.460 6.764
9.770 0.084 10.168
9.770 3.442 10.168
11.775 3.610 3.780
11.775 6.968 3.780
12.412 3.592 0.376
12.412 6.986 0.376
12.441 3.596 7.203
12.441 6.982 7.203
12.671 1.763 10.191
```

Main lines, in order of rising 2θ (2θ = 10–80°):
| 2θ (°) | d (Å) | Rel. int. |
| --- | --- | --- |
| 12.3 | 7.182 | 53 |
| 18.6 | 4.773 | 17 |
| 19.0 | 4.682 | 100 |
| 24.4 | 3.645 | 21 |
| 25.2 | 3.532 | 41 |
| 33.7 | 2.657 | 19 |
| 35.1 | 2.558 | 20 |
| 35.7 | 2.516 | 36 |
| 38.5 | 2.336 | 24 |
| 40.0 | 2.256 | 19 |

---

Theoretical powder diffractogram of CsVTcCl6 for a wavelength of 1.5418 Å, from the GGA-PBE geometry in Alexandria.
Neutral-atom scattering factors, no anomalous dispersion.

Atomic structure:
```
CsVTcCl6
1.0
3.187 -5.526 0.000
3.187 5.526 0.000
-0.014 0.000 7.927
Cs V Tc Cl
1 1 1 6
Cartesian
0.000 0.000 0.000
3.180 1.839 3.964
3.180 -1.845 3.964
1.186 -2.024 5.345
2.353 -0.025 2.577
4.006 -0.025 5.350
2.025 -3.476 2.580
4.335 -3.476 5.347
5.173 -2.024 2.583
```

Main lines, in order of rising 2θ (2θ = 10–80°):
| 2θ (°) | d (Å) | Rel. int. |
| --- | --- | --- |
| 11.2 | 7.927 | 21 |
| 19.6 | 4.531 | 100 |
| 28.0 | 3.189 | 13 |
| 30.2 | 2.958 | 18 |
| 34.4 | 2.608 | 16 |
| 36.2 | 2.484 | 57 |
| 44.9 | 2.019 | 21 |
| 47.6 | 1.909 | 13 |
| 49.5 | 1.841 | 17 |
| 54.5 | 1.683 | 15 |

---

Theoretical powder diffractogram of Cs4Te5Cl for a wavelength of 1.5418 Å, from the GGA-PBE geometry in Alexandria.
Neutral-atom scattering factors, no anomalous dispersion.

Atomic structure:
```
Cs4Te5Cl
1.0
-2.893 5.913 7.223
2.893 -5.913 7.223
2.893 5.913 -7.223
Cs Te Cl
4 5 1
Cartesian
0.000 0.000 2.381
2.893 3.404 0.000
0.000 2.509 7.223
0.000 0.000 12.064
2.893 -1.479 4.528
2.893 1.479 4.528
0.000 5.913 0.000
0.000 4.434 2.695
0.000 7.392 2.695
2.893 0.000 0.000
```

Main lines, in order of rising 2θ (2θ = 10–80°):
| 2θ (°) | d (Å) | Rel. int. |
| --- | --- | --- |
| 22.4 | 3.976 | 60 |
| 24.0 | 3.701 | 100 |
| 29.3 | 3.050 | 19 |
| 30.1 | 2.969 | 77 |
| 30.9 | 2.893 | 45 |
| 37.2 | 2.419 | 18 |
| 37.4 | 2.408 | 21 |
| 42.6 | 2.123 | 23 |
| 49.2 | 1.851 | 21 |
| 53.5 | 1.712 | 23 |

---

Theoretical powder diffractogram of CsTeCl6 for a wavelength of 1.5418 Å, from the GGA-PBE geometry in Alexandria.
Neutral-atom scattering factors, no anomalous dispersion.

Atomic structure:
```
CsTeCl6
1.0
3.559 2.055 6.541
-3.559 2.055 6.541
0.000 -4.110 6.541
Cs Te Cl
1 1 6
Cartesian
0.000 0.000 0.000
0.000 0.000 9.812
-1.753 -1.012 8.391
0.000 -2.024 11.233
-1.753 1.012 11.233
1.753 -1.012 8.391
0.000 2.024 8.391
1.753 1.012 11.233
```

Main lines, in order of rising 2θ (2θ = 10–80°):
| 2θ (°) | d (Å) | Rel. int. |
| --- | --- | --- |
| 17.0 | 5.220 | 100 |
| 23.2 | 3.839 | 85 |
| 25.0 | 3.559 | 24 |
| 29.3 | 3.045 | 18 |
| 30.4 | 2.941 | 52 |
| 37.3 | 2.408 | 53 |
| 39.8 | 2.267 | 21 |
| 43.0 | 2.105 | 33 |
| 51.3 | 1.780 | 21 |
| 52.6 | 1.740 | 19 |

---

Theoretical powder diffractogram of CsTe2Cl4 for a wavelength of 1.5418 Å, from the GGA-PBE geometry in Alexandria.
Neutral-atom scattering factors, no anomalous dispersion.

Atomic structure:
```
CsTe2Cl4
1.0
0.000 7.841 7.882
5.162 0.000 7.882
5.162 7.841 0.000
Cs Te Cl
2 4 8
Cartesian
0.000 0.000 0.000
2.581 3.920 3.941
6.450 7.102 4.693
3.874 8.579 4.693
6.450 8.579 11.070
3.874 7.102 11.070
7.209 8.984 6.249
7.209 6.697 9.515
9.789 10.122 10.685
3.116 6.697 6.249
9.789 13.400 12.960
3.116 8.984 9.515
5.697 10.122 12.960
5.697 13.400 10.685
```

Main lines, in order of rising 2θ (2θ = 10–80°):
| 2θ (°) | d (Å) | Rel. int. |
| --- | --- | --- |
| 11.3 | 7.861 | 100 |
| 19.8 | 4.480 | 53 |
| 25.5 | 3.488 | 52 |
| 27.1 | 3.287 | 27 |
| 30.8 | 2.906 | 26 |
| 31.6 | 2.830 | 13 |
| 36.7 | 2.449 | 22 |
| 38.5 | 2.341 | 22 |
| 45.1 | 2.008 | 18 |
| 53.4 | 1.716 | 15 |

---

Theoretical powder diffractogram of Cs2TlTeCl6 for a wavelength of 1.5418 Å, from the GGA-PBE geometry in Alexandria.
Neutral-atom scattering factors, no anomalous dispersion.

Atomic structure:
```
Cs2TlTeCl6
1.0
7.604 0.000 0.000
0.000 12.144 0.000
0.000 0.000 8.405
Cs Tl Te Cl
4 2 2 12
Cartesian
1.901 0.241 1.759
1.901 5.831 1.759
5.703 6.312 6.646
5.703 11.903 6.646
1.901 3.036 6.137
5.703 9.108 2.268
1.901 9.108 6.463
5.703 3.036 1.942
0.058 9.108 4.687
0.100 9.108 8.320
1.901 0.094 6.546
1.901 5.977 6.546
3.702 9.108 8.320
3.744 9.108 4.687
3.860 3.036 3.718
3.902 3.036 0.085
5.703 6.166 1.859
5.703 12.049 1.859
7.504 3.036 0.085
7.546 3.036 3.718
```

Main lines, in order of rising 2θ (2θ = 10–80°):
| 2θ (°) | d (Å) | Rel. int. |
| --- | --- | --- |
| 21.1 | 4.202 | 25 |
| 21.5 | 4.132 | 100 |
| 23.4 | 3.802 | 22 |
| 29.4 | 3.036 | 28 |
| 31.7 | 2.819 | 42 |
| 36.5 | 2.461 | 11 |
| 37.3 | 2.412 | 18 |
| 37.9 | 2.372 | 11 |
| 40.0 | 2.254 | 22 |
| 43.8 | 2.066 | 31 |

---

Theoretical powder diffractogram of Cs2Tl3Te2Cl2 for a wavelength of 1.5418 Å, from the GGA-PBE geometry in Alexandria.
Neutral-atom scattering factors, no anomalous dispersion.

Atomic structure:
```
Cs2Tl3Te2Cl2
1.0
-2.999 2.999 10.212
2.999 -2.999 10.212
2.999 2.999 -10.212
Cs Tl Te Cl
2 3 2 2
Cartesian
0.000 0.000 2.017
0.000 0.000 18.407
2.999 0.000 5.106
0.000 0.000 10.212
0.000 2.999 5.106
0.000 0.000 6.367
0.000 0.000 14.056
2.999 0.000 0.000
0.000 2.999 0.000
```

Main lines, in order of rising 2θ (2θ = 10–80°):
| 2θ (°) | d (Å) | Rel. int. |
| --- | --- | --- |
| 17.4 | 5.106 | 29 |
| 22.7 | 3.917 | 51 |
| 26.4 | 3.376 | 94 |
| 27.3 | 3.262 | 40 |
| 29.8 | 2.999 | 100 |
| 33.8 | 2.655 | 25 |
| 40.2 | 2.242 | 61 |
| 42.6 | 2.121 | 38 |
| 49.5 | 1.840 | 34 |
| 67.4 | 1.390 | 27 |